Entry 1:
For Sr4PuTi3O12, a crystal structure in Alexandria, relaxed with GGA-PBE gives the computed X-ray diffraction stick pattern in this record (Cu Ka).
Intensities are scaled so that the largest is 100.

Crystal structure
Cell lengths 7.0148, 7.0148, 7.0148 Å; angles 109.47, 109.47, 109.47 degrees
Fractional coordinates of all 20 atoms:
Sr: 0.0000 0.0000 0.5000
Sr: 0.0000 0.5000 0.0000
Sr: 0.5000 0.0000 0.0000
Sr: 0.5000 0.5000 0.5000
Pu: 0.0000 0.0000 0.0000
Ti: 0.0000 0.5000 0.5000
Ti: 0.5000 0.0000 0.5000
Ti: 0.5000 0.5000 0.0000
O: 0.0000 0.2624 0.2624
O: 0.0000 0.7376 0.7376
O: 0.2500 0.5000 0.7500
O: 0.2500 0.7500 0.5000
O: 0.2624 0.0000 0.2624
O: 0.2624 0.2624 0.0000
O: 0.5000 0.2500 0.7500
O: 0.5000 0.7500 0.2500
O: 0.7376 0.0000 0.7376
O: 0.7376 0.7376 0.0000
O: 0.7500 0.2500 0.5000
O: 0.7500 0.5000 0.2500

Most intense lines, 2θ = 10–90°, in order of falling intensity:
- 31.2 deg, I 100.0
- 55.6 deg, I 39.4
- 15.5 deg, I 36.7
- 44.8 deg, I 34.8
- 27.0 deg, I 21.0
- 65.1 deg, I 20.8
- 74.0 deg, I 17.3
- 41.7 deg, I 15.5

=====

Entry 2:
For LiB2H2, a crystal structure in Alexandria, relaxed with GGA-PBE gives the computed X-ray diffraction stick pattern in this record (Cu Ka).
Intensities are scaled so that the largest is 100.

Crystal structure
Cell lengths 3.9358, 3.9358, 5.2842 Å; angles 91.91, 91.91, 74.96 degrees
Fractional coordinates of all 10 atoms:
Li: 0.0000 0.0000 0.0000
Li: 0.5463 0.4537 0.5000
B: 0.0390 0.5155 0.3036
B: 0.1222 0.1359 0.4792
B: 0.4845 0.9610 0.6964
B: 0.8641 0.8778 0.5208
H: 0.2911 0.5648 0.1914
H: 0.4352 0.7089 0.8086
H: 0.4595 0.1973 0.8587
H: 0.8027 0.5405 0.1413

Most intense lines, 2θ = 10–90°, in order of falling intensity:
- 16.8 deg, I 100.0
- 29.3 deg, I 39.9
- 28.6 deg, I 34.8
- 51.5 deg, I 31.7
- 23.4 deg, I 16.4
- 50.2 deg, I 14.6
- 42.2 deg, I 13.4
- 47.9 deg, I 11.2

=====

Entry 3:
For Ag3HgPd, a crystal structure in Alexandria, relaxed with GGA-PBE gives the computed X-ray diffraction stick pattern in this record (Cu Ka).
Intensities are scaled so that the largest is 100.

Crystal structure
Cell lengths 3.0194, 12.4516, 12.4516 Å; angles 157.26, 90.00, 90.00 degrees
Fractional coordinates of all 10 atoms:
Ag: 0.2500 0.0494 0.9506
Ag: 0.2500 0.4556 0.5560
Ag: 0.2500 0.5597 0.0556
Ag: 0.7500 0.0556 0.5597
Ag: 0.7500 0.5560 0.4556
Ag: 0.7500 0.9506 0.0494
Hg: 0.2500 0.0069 0.3074
Hg: 0.7500 0.3074 0.0069
Pd: 0.2500 0.8045 0.5051
Pd: 0.7500 0.5051 0.8045

Most intense lines, 2θ = 10–90°, in order of falling intensity:
- 39.6 deg, I 100.0
- 36.8 deg, I 41.1
- 36.6 deg, I 29.3
- 37.4 deg, I 17.4
- 68.2 deg, I 16.4
- 43.7 deg, I 14.7
- 64.9 deg, I 13.2
- 43.0 deg, I 12.5

=====

Entry 4:
For Rb8Bi2I, a crystal structure in Alexandria, relaxed with GGA-PBE gives the computed X-ray diffraction stick pattern in this record (Cu Ka).
Intensities are scaled so that the largest is 100.

Crystal structure
Cell lengths 11.3019, 11.3019, 11.3019 Å; angles 146.48, 132.18, 59.66 degrees
Fractional coordinates of all 11 atoms:
Rb: 0.1155 0.3483 0.7672
Rb: 0.1888 0.1888 0.0000
Rb: 0.2890 0.0000 0.2890
Rb: 0.4189 0.6517 0.7672
Rb: 0.5811 0.3483 0.2328
Rb: 0.7110 0.0000 0.7110
Rb: 0.8112 0.8112 0.0000
Rb: 0.8845 0.6517 0.2328
Bi: 0.3184 0.8184 0.5000
Bi: 0.6816 0.1816 0.5000
I: 0.0000 0.5000 0.5000

Most intense lines, 2θ = 10–90°, in order of falling intensity:
- 27.4 deg, I 100.0
- 27.3 deg, I 49.5
- 48.4 deg, I 31.7
- 16.7 deg, I 30.7
- 48.6 deg, I 16.7
- 39.0 deg, I 16.2
- 32.2 deg, I 12.9
- 26.5 deg, I 11.7

=====

Entry 5:
For PdPb, a crystal structure in Alexandria, relaxed with GGA-PBE gives the computed X-ray diffraction stick pattern in this record (Cu Ka).
Intensities are scaled so that the largest is 100.

Crystal structure
Cell lengths 5.6890, 5.7041, 21.7460 Å; angles 95.89, 95.92, 100.66 degrees
Fractional coordinates of all 32 atoms:
Pd: 0.0218 0.2637 0.2081
Pd: 0.0984 0.8613 0.5440
Pd: 0.1421 0.3862 0.9577
Pd: 0.2626 0.5044 0.7089
Pd: 0.3195 0.5801 0.4591
Pd: 0.3201 0.0629 0.2944
Pd: 0.4386 0.1804 0.0427
Pd: 0.4398 0.7040 0.2075
Pd: 0.5602 0.2960 0.7925
Pd: 0.5614 0.8196 0.9573
Pd: 0.6799 0.9371 0.7056
Pd: 0.6805 0.4199 0.5409
Pd: 0.7374 0.4956 0.2911
Pd: 0.8579 0.6138 0.0423
Pd: 0.9016 0.1387 0.4560
Pd: 0.9782 0.7363 0.7919
Pb: 0.0586 0.2654 0.8198
Pb: 0.0634 0.8565 0.9305
Pb: 0.1819 0.3897 0.5735
Pb: 0.1819 0.9737 0.6810
Pb: 0.2655 0.5597 0.3235
Pb: 0.3750 0.0835 0.4307
Pb: 0.3846 0.6771 0.0731
Pb: 0.4935 0.2040 0.1768
Pb: 0.5065 0.7960 0.8232
Pb: 0.6154 0.3229 0.9269
Pb: 0.6250 0.9165 0.5693
Pb: 0.7345 0.4403 0.6765
Pb: 0.8181 0.0263 0.3190
Pb: 0.8181 0.6103 0.4265
Pb: 0.9366 0.1435 0.0695
Pb: 0.9414 0.7346 0.1802

Most intense lines, 2θ = 10–90°, in order of falling intensity:
- 33.0 deg, I 100.0
- 33.4 deg, I 45.4
- 33.1 deg, I 37.2
- 41.2 deg, I 36.2
- 39.4 deg, I 30.8
- 40.8 deg, I 30.7
- 41.0 deg, I 28.6
- 26.2 deg, I 26.2

=====

Entry 6:
For TeO2, a crystal structure in Alexandria, relaxed with GGA-PBE gives the computed X-ray diffraction stick pattern in this record (Cu Ka).
Intensities are scaled so that the largest is 100.

Crystal structure
Cell lengths 5.5913, 5.7467, 12.2697 Å; angles 90.00, 90.00, 90.00 degrees
Fractional coordinates of all 24 atoms:
Te: 0.0294 0.1216 0.1166
Te: 0.0294 0.3784 0.6166
Te: 0.4706 0.6216 0.1166
Te: 0.4706 0.8784 0.6166
Te: 0.5294 0.1216 0.3834
Te: 0.5294 0.3784 0.8834
Te: 0.9706 0.6216 0.3834
Te: 0.9706 0.8784 0.8834
O: 0.1450 0.1612 0.9696
O: 0.1450 0.3388 0.4696
O: 0.2226 0.0872 0.6682
O: 0.2226 0.4128 0.1682
O: 0.2774 0.5872 0.6682
O: 0.2774 0.9128 0.1682
O: 0.3550 0.6612 0.9696
O: 0.3550 0.8388 0.4696
O: 0.6450 0.1612 0.5304
O: 0.6450 0.3388 0.0304
O: 0.7226 0.0872 0.8318
O: 0.7226 0.4128 0.3318
O: 0.7774 0.5872 0.8318
O: 0.7774 0.9128 0.3318
O: 0.8550 0.6612 0.5304
O: 0.8550 0.8388 0.0304

Most intense lines, 2θ = 10–90°, in order of falling intensity:
- 23.4 deg, I 100.0
- 26.6 deg, I 98.9
- 32.0 deg, I 40.9
- 29.1 deg, I 39.8
- 45.9 deg, I 26.3
- 38.3 deg, I 24.0
- 43.8 deg, I 22.6
- 43.2 deg, I 22.4

=====

Entry 7:
For CeAlGa4Pd2, a crystal structure in Alexandria, relaxed with GGA-PBE gives the computed X-ray diffraction stick pattern in this record (Cu Ka).
Intensities are scaled so that the largest is 100.

Crystal structure
Cell lengths 9.0624, 9.0624, 9.0624 Å; angles 28.10, 28.10, 28.10 degrees
Fractional coordinates of all 8 atoms:
Ce: 0.0000 0.0000 0.0000
Al: 0.5000 0.5000 0.5000
Ga: 0.1229 0.1229 0.1229
Ga: 0.3964 0.3964 0.3964
Ga: 0.6036 0.6036 0.6036
Ga: 0.8771 0.8771 0.8771
Pd: 0.2341 0.2341 0.2341
Pd: 0.7659 0.7659 0.7659

Most intense lines, 2θ = 10–90°, in order of falling intensity:
- 41.0 deg, I 100.0
- 36.3 deg, I 88.1
- 29.0 deg, I 35.4
- 55.9 deg, I 24.7
- 71.6 deg, I 23.1
- 74.7 deg, I 16.4
- 52.2 deg, I 15.0
- 23.6 deg, I 13.9

=====

Entry 8:
For GaCu7Au3, a crystal structure in Alexandria, relaxed with GGA-PBE gives the computed X-ray diffraction stick pattern in this record (Cu Ka).
Intensities are scaled so that the largest is 100.

Crystal structure
Cell lengths 6.4977, 6.4977, 4.6115 Å; angles 110.11, 110.11, 91.30 degrees
Fractional coordinates of all 11 atoms:
Ga: 0.0000 0.0000 0.0000
Cu: 0.0000 0.0000 0.5000
Cu: 0.0821 0.5822 0.8334
Cu: 0.3062 0.3062 0.3202
Cu: 0.4178 0.9179 0.1666
Cu: 0.5822 0.0821 0.8334
Cu: 0.6938 0.6938 0.6798
Cu: 0.9179 0.4178 0.1666
Au: 0.2727 0.7273 0.5000
Au: 0.5000 0.5000 0.0000
Au: 0.7273 0.2727 0.5000

Most intense lines, 2θ = 10–90°, in order of falling intensity:
- 43.8 deg, I 100.0
- 39.1 deg, I 99.5
- 44.4 deg, I 90.8
- 38.8 deg, I 83.7
- 22.5 deg, I 68.7
- 56.2 deg, I 58.7
- 29.7 deg, I 47.7
- 29.4 deg, I 42.6